For Sc6C2O, a DFT-relaxed cell (PBE, Alexandria) gives the calculated XRD peak list in this record (a wavelength of 1.5418 Å).
No peak broadening, texture or thermal motion is included.

Principal peaks in the range 2θ from 10° to 90°, low angle first:
2θ = 18.78°, I = 7; 2θ = 31.74°, I = 12; 2θ = 33.18°, I = 20; 2θ = 35.94°, I = 100; 2θ = 46.58°, I = 23; 2θ = 56.55°, I = 20; 2θ = 61.09°, I = 17; 2θ = 67.16°, I = 14; 2θ = 68.85°, I = 12; 2θ = 88.01°, I = 6

Crystal structure
a b c (Å): 5.400 5.637 9.766
angles (deg): 90.00 90.00 90.00
Fractional positions:
Sc1 0.227 0.163 0.000
Sc2 0.246 0.667 0.164
Sc3 0.246 0.667 0.836
Sc4 0.254 0.167 0.336
Sc5 0.254 0.167 0.664
Sc6 0.273 0.663 0.500
Sc7 0.727 0.337 0.500
Sc8 0.746 0.833 0.336
Sc9 0.746 0.833 0.664
Sc10 0.754 0.333 0.164
Sc11 0.754 0.333 0.836
Sc12 0.773 0.837 0.000
C1 0.000 0.000 0.175
C2 0.000 0.000 0.825
C3 0.500 0.500 0.325
C4 0.500 0.500 0.675
O1 0.000 0.500 0.000
O2 0.500 0.000 0.500

=====

For Sc4CO, a DFT-relaxed cell (PBE, Alexandria) gives the calculated XRD peak list in this record (a wavelength of 1.5418 Å).
No peak broadening, texture or thermal motion is included.

Principal peaks in the range 2θ from 10° to 90°, low angle first:
2θ = 16.36°, I = 25; 2θ = 33.07°, I = 31; 2θ = 35.53°, I = 46; 2θ = 35.77°, I = 100; 2θ = 36.23°, I = 20; 2θ = 46.11°, I = 18; 2θ = 46.51°, I = 22; 2θ = 56.46°, I = 22; 2θ = 60.49°, I = 19; 2θ = 66.47°, I = 14

Crystal structure
a b c (Å): 5.418 3.294 5.627
angles (deg): 90.00 90.99 90.00
Fractional positions:
Sc1 0.230 0.000 0.169
Sc2 0.230 0.500 0.672
Sc3 0.770 0.000 0.831
Sc4 0.770 0.500 0.328
C1 0.000 0.500 0.000
O1 0.000 0.000 0.500

=====

For TbScCO, a DFT-relaxed cell (PBE, Alexandria) gives the calculated XRD peak list in this record (a wavelength of 1.5418 Å).
No peak broadening, texture or thermal motion is included.

Principal peaks in the range 2θ from 10° to 90°, low angle first:
2θ = 15.36°, I = 95; 2θ = 29.12°, I = 71; 2θ = 30.31°, I = 67; 2θ = 31.00°, I = 51; 2θ = 36.66°, I = 51; 2θ = 37.64°, I = 46; 2θ = 44.02°, I = 100; 2θ = 48.75°, I = 27; 2θ = 49.53°, I = 24; 2θ = 64.29°, I = 34

Crystal structure
a b c (Å): 6.175 6.175 6.175
angles (deg): 151.40 150.15 41.82
Fractional positions:
Tb1 0.000 0.000 0.000
Sc1 0.755 0.255 0.500
C1 0.333 0.833 0.500
O1 0.589 0.589 0.000